# 1
Starting from a DFT-relaxed cell (GGA-PBE, OQMD), the X-ray diffraction stick pattern of Sm3NbS3O4 was computed for a wavelength of 1.5418 Å.
Neutral-atom scattering factors, no anomalous dispersion.

Cell and atoms:
```
44
Lattice="6.6907 0.0000 0.0000 0.0000 14.2113 0.0000 0.0000 0.0000 7.6893" Properties=species:S:1:pos:R:3 pbc="T T T"
Sm 1.4528 2.2262 0.0000
Sm 1.4838 13.0427 5.8163
Sm 1.5349 2.4364 3.9227
Sm 1.8104 9.5420 0.0781
Sm 1.8615 5.9371 1.9717
Sm 1.8925 9.3319 3.8446
Sm 4.7981 4.8794 0.0000
Sm 4.8291 8.2742 5.8163
Sm 4.8802 4.6692 3.9227
Sm 5.1558 11.7749 0.0781
Sm 5.2069 1.1685 1.9717
Sm 5.2379 11.9850 3.8446
Nb 1.2085 13.1567 1.8527
Nb 2.1368 6.0510 5.6974
Nb 4.5539 8.1603 1.8527
Nb 5.4821 1.0546 5.6974
S 0.0137 3.8781 1.8776
S 0.2107 6.9860 4.1131
S 0.3074 4.2462 5.9005
S 3.0379 11.3518 2.0558
S 3.1346 14.0916 0.2685
S 3.3317 10.9838 5.7222
S 3.3590 3.2275 1.8776
S 3.5560 0.1197 4.1131
S 3.6528 2.8594 5.9005
S 6.3832 9.9651 2.0558
S 6.4800 7.2253 0.2685
S 6.6770 10.3331 5.7222
O 0.8212 12.1865 0.2046
O 0.8465 12.5798 3.6617
O 0.8891 1.0570 5.6952
O 0.9512 0.8897 2.0306
O 2.3941 7.9953 5.8752
O 2.4562 8.1627 1.8506
O 2.4988 5.4742 7.5063
O 2.5241 5.0809 4.0493
O 4.1665 9.1304 0.2046
O 4.1918 8.7371 3.6617
O 4.2344 6.0486 5.6952
O 4.2966 6.2160 2.0306
O 5.7394 13.3216 5.8752
O 5.8016 13.1542 1.8506
O 5.8442 1.6315 7.5063
O 5.8695 2.0248 4.0493
```

Largest 8 diffraction maxima, low angle first, 15 to 90 degrees two-theta:
d_spacing	Rel. int.
3.345	29
3.138	56
3.018	100
2.378	32
2.017	35
1.922	18
1.862	20
1.727	21

=====

# 2
Starting from a DFT-relaxed cell (GGA-PBE, OQMD), the X-ray diffraction stick pattern of NbSbO4 was computed for a wavelength of 1.5418 Å.
Neutral-atom scattering factors, no anomalous dispersion.

Cell and atoms:
```
24
Lattice="5.5999 0.0000 0.0000 0.0000 11.7758 0.0000 0.0000 0.0000 4.9575" Properties=species:S:1:pos:R:3 pbc="T T T"
Nb 0.7844 2.9440 1.2394
Nb 2.0155 8.8319 1.2394
Nb 3.5843 2.9440 3.7182
Nb 4.8154 8.8319 3.7182
Sb 1.4000 0.0000 3.4965
Sb 1.4000 5.8879 3.9398
Sb 4.1999 0.0000 1.4611
Sb 4.1999 5.8879 1.0177
O 0.4254 1.1264 2.0990
O 0.4254 4.7615 0.3798
O 0.8392 8.1511 2.5302
O 0.8392 9.5126 4.9061
O 1.9608 2.2632 4.9061
O 1.9608 3.6247 2.5302
O 2.3745 7.0143 0.3798
O 2.3745 10.6494 2.0990
O 3.2253 1.1264 2.8585
O 3.2253 4.7615 4.5778
O 3.6391 8.1511 2.4273
O 3.6391 9.5126 0.0514
O 4.7607 2.2632 0.0514
O 4.7607 3.6247 2.4273
O 5.1745 7.0143 4.5778
O 5.1745 10.6494 2.8585
```

Largest 8 diffraction maxima, low angle first, 15 to 90 degrees two-theta:
d_spacing	Rel. int.
3.540	20
3.140	100
2.944	23
2.800	9
2.029	10
1.896	14
1.735	19
1.531	10

=====

# 3
Starting from a DFT-relaxed cell (GGA-PBE, OQMD), the X-ray diffraction stick pattern of Nb2Sb2O5 was computed for a wavelength of 1.5418 Å.
Neutral-atom scattering factors, no anomalous dispersion.

Cell and atoms:
```
9
Lattice="4.2123 0.0000 0.0000 0.0000 4.2123 0.0000 0.0000 0.0000 7.1458" Properties=species:S:1:pos:R:3 pbc="T T T"
Nb 0.0000 0.0000 0.0000
Nb 0.0000 0.0000 3.5729
Sb 2.1061 2.1061 1.4923
Sb 2.1061 2.1061 5.6535
O 0.0000 2.1061 1.2838
O 0.0000 2.1061 5.8621
O 2.1061 0.0000 1.2838
O 2.1061 0.0000 5.8621
O 2.1061 2.1061 3.5729
```

Largest 8 diffraction maxima, low angle first, 15 to 90 degrees two-theta:
d_spacing	Rel. int.
2.979	63
2.725	100
2.106	42
1.666	45
1.532	13
1.489	13
1.332	11
1.110	12

=====

# 4
Starting from a DFT-relaxed cell (GGA-PBE, OQMD), the X-ray diffraction stick pattern of Nb2Se4O13 was computed for a wavelength of 1.5418 Å.
Neutral-atom scattering factors, no anomalous dispersion.

Cell and atoms:
```
38
Lattice="11.3180 0.0000 0.0000 0.0000 6.5835 0.0000 -2.4970 0.0000 7.1149" Properties=species:S:1:pos:R:3 pbc="T T T"
Nb 0.0000 0.0084 0.0000
Nb -1.2485 6.5752 3.5575
Nb 1.5898 3.2683 6.7017
Nb 2.8383 3.3152 3.1442
Se -0.6032 3.0273 1.8664
Se -1.8517 3.5562 5.4238
Se 3.4460 0.2609 1.3172
Se 2.1975 6.3226 4.8747
Se 6.3221 2.8216 3.8993
Se 7.5706 3.7619 0.3418
Se 7.1957 0.1683 1.5750
Se 5.9471 6.4153 5.1324
O -0.9804 1.9579 3.1869
O -2.2289 4.6256 6.7444
O -0.1941 3.2736 5.8214
O 1.0544 3.3099 2.2640
O 1.7746 0.0691 0.8339
O 0.5261 6.5144 4.3913
O 1.4003 1.3012 7.1019
O 2.6488 5.2823 3.5445
O 2.2485 2.7438 4.7851
O 3.4970 3.8397 1.2277
O 3.1496 1.3779 2.6022
O 1.9011 5.2057 6.1596
O 6.0147 3.0445 0.0816
O 4.7662 3.5390 3.6390
O 5.7053 0.5853 2.2087
O 4.4568 5.9982 5.7662
O 5.7525 1.6790 5.2261
O 7.0010 4.9046 1.6687
O 8.2478 2.6155 1.3517
O 6.9993 3.9680 4.9091
O 8.1004 0.2564 3.0718
O 6.8518 6.3271 6.6292
O 9.2677 0.5390 5.4047
O 10.9692 1.9298 0.5465
O 9.7207 4.6537 4.1040
O 10.5162 6.0445 1.8472
```

Largest 8 diffraction maxima, low angle first, 15 to 90 degrees two-theta:
d_spacing	Rel. int.
3.559	94
3.292	54
3.272	100
3.128	17
2.414	45
2.407	19
1.780	18
1.565	24

=====

# 5
Starting from a DFT-relaxed cell (GGA-PBE, OQMD), the X-ray diffraction stick pattern of Sm3NbSe3O4 was computed for a wavelength of 1.5418 Å.
Neutral-atom scattering factors, no anomalous dispersion.

Cell and atoms:
```
44
Lattice="6.8940 0.0000 0.0000 0.0000 7.7682 0.0000 0.0000 0.0000 14.8459" Properties=species:S:1:pos:R:3 pbc="T T T"
Sm 1.4796 0.0543 2.2896
Sm 1.4796 3.8297 2.2896
Sm 1.4954 1.9420 13.6183
Sm 1.9516 5.8261 6.1954
Sm 1.9674 3.9384 9.7125
Sm 1.9674 7.7138 9.7125
Sm 4.9266 0.0543 5.1334
Sm 4.9266 3.8297 5.1334
Sm 4.9424 1.9420 8.6505
Sm 5.3986 5.8261 1.2276
Sm 5.4144 3.9384 12.5563
Sm 5.4144 7.7138 12.5563
Nb 1.2207 5.8261 13.8404
Nb 2.2263 1.9420 6.4175
Nb 4.6677 5.8261 8.4284
Nb 5.6733 1.9420 1.0055
Se 0.0000 0.0000 7.4229
Se 0.0000 3.8841 7.4229
Se 0.0174 1.9420 10.8165
Se 0.3411 1.9420 4.4136
Se 3.1059 5.8261 11.8366
Se 3.4296 5.8261 3.3936
Se 3.4470 0.0000 0.0000
Se 3.4470 3.8841 0.0000
Se 3.4644 1.9420 11.4523
Se 3.7881 1.9420 3.0093
Se 6.5529 5.8261 10.4323
Se 6.8766 5.8261 4.0294
O 0.7926 4.0904 13.1363
O 0.7926 7.5618 13.1363
O 0.9092 1.9420 1.0104
O 0.9898 5.8261 0.9360
O 2.4572 1.9420 8.3589
O 2.5378 5.8261 8.4334
O 2.6544 0.2064 5.7134
O 2.6544 3.6777 5.7134
O 4.2396 4.0904 9.1325
O 4.2396 7.5618 9.1325
O 4.3561 1.9420 6.4125
O 4.4368 5.8261 6.4869
O 5.9042 1.9420 13.9099
O 5.9848 5.8261 13.8355
O 6.1014 0.2064 1.7096
O 6.1014 3.6777 1.7096
```

Largest 8 diffraction maxima, low angle first, 15 to 90 degrees two-theta:
d_spacing	Rel. int.
3.268	41
3.079	100
2.793	29
2.526	30
2.435	49
2.271	19
2.087	36
1.942	25

=====

# 6
Starting from a DFT-relaxed cell (GGA-PBE, OQMD), the X-ray diffraction stick pattern of NbTlSeO was computed for a wavelength of 1.5418 Å.
Neutral-atom scattering factors, no anomalous dispersion.

Cell and atoms:
```
16
Lattice="4.9310 0.0000 0.0000 0.0000 5.8218 0.0000 -0.7082 0.0000 11.7015" Properties=species:S:1:pos:R:3 pbc="T T T"
Nb 0.5607 0.0000 4.9638
Nb 1.1966 2.9109 6.7377
Nb 3.0262 2.9109 4.9638
Nb 3.6621 0.0000 6.7377
Tl 0.5414 4.1312 10.4064
Tl 1.2159 1.2203 1.2951
Tl 3.0069 1.2203 10.4064
Tl 3.6814 4.1312 1.2951
Se 0.4402 0.8697 8.6121
Se 1.3171 3.7806 3.0894
Se 2.9057 3.7806 8.6121
Se 3.7826 0.8697 3.0894
O -0.3541 1.6953 5.8507
O -0.3541 4.1193 5.8507
O 2.1114 1.2084 5.8507
O 2.1114 4.6062 5.8507
```

Largest 8 diffraction maxima, low angle first, 15 to 90 degrees two-theta:
d_spacing	Rel. int.
3.231	52
3.098	77
2.911	28
2.825	54
2.771	100
2.646	73
2.461	36
1.869	31